[1]
# AcTmZrN3
Theoretical powder diffractogram, Cu Ka. Input: DFT lattice parameters and positions (GGA-PBE).
Peak positions follow from Bragg's law for the DFT cell and can differ from measured ones.

Main lines, sorted by position (2θ from 15° to 90°):
| Position (°2θ) | d [Å] | I/Imax |
| --- | --- | --- |
| 27.08 | 3.292 | 20 |
| 27.97 | 3.190 | 21 |
| 29.62 | 3.016 | 46 |
| 30.18 | 2.961 | 17 |
| 30.73 | 2.909 | 36 |
| 31.08 | 2.877 | 25 |
| 32.20 | 2.780 | 92 |
| 33.89 | 2.645 | 100 |
| 48.98 | 1.860 | 18 |
| 51.40 | 1.778 | 19 |
| 53.09 | 1.725 | 24 |
| 61.11 | 1.516 | 31 |

Cell and atoms:
```
AcTmZrN3
1.0
6.076 0.000 0.000
0.000 3.555 0.000
-1.996 0.000 8.728
Ac Tm Zr N
2 2 2 6
Cartesian
0.511 0.889 1.713
3.569 2.666 7.015
0.540 2.666 4.741
3.540 0.889 3.987
0.520 0.889 7.457
3.560 2.666 1.270
-0.939 0.889 5.784
-0.233 2.666 8.520
2.139 2.666 2.984
1.941 0.889 5.744
4.313 0.889 0.208
5.019 2.666 2.943
```

***

[2]
# Th3MnPd
Theoretical powder diffractogram, Cu Ka. Input: DFT lattice parameters and positions (GGA-PBE).
Peak positions follow from Bragg's law for the DFT cell and can differ from measured ones.

Main lines, sorted by position (2θ from 15° to 90°):
| Position (°2θ) | d [Å] | I/Imax |
| --- | --- | --- |
| 30.22 | 2.957 | 100 |
| 31.72 | 2.821 | 82 |
| 32.38 | 2.765 | 79 |
| 32.63 | 2.744 | 25 |
| 33.72 | 2.658 | 62 |
| 34.99 | 2.564 | 65 |
| 37.80 | 2.380 | 40 |
| 46.22 | 1.964 | 26 |
| 48.12 | 1.891 | 34 |
| 53.11 | 1.724 | 20 |
| 59.20 | 1.561 | 39 |
| 60.04 | 1.541 | 24 |

Cell and atoms:
```
Th3MnPd
1.0
8.305 0.000 0.000
0.000 3.782 0.000
-3.154 0.000 7.975
Th Mn Pd
6 2 2
Cartesian
-0.138 0.946 1.445
0.015 2.837 4.363
2.840 2.837 1.264
2.311 0.946 6.711
5.137 0.946 3.611
5.289 2.837 6.529
2.385 0.946 3.458
2.766 2.837 4.517
-0.710 0.946 6.763
5.862 2.837 1.212
```

***

[3]
# Mn3Zn
Theoretical powder diffractogram, Cu Ka. Input: DFT lattice parameters and positions (GGA-PBE).
Peak positions follow from Bragg's law for the DFT cell and can differ from measured ones.

Main lines, sorted by position (2θ from 15° to 90°):
| Position (°2θ) | d [Å] | I/Imax |
| --- | --- | --- |
| 30.29 | 2.950 | 2 |
| 38.30 | 2.350 | 1 |
| 42.51 | 2.127 | 100 |
| 42.91 | 2.108 | 98 |
| 48.82 | 1.866 | 65 |
| 51.52 | 1.774 | 28 |
| 69.30 | 1.356 | 1 |
| 70.95 | 1.328 | 9 |
| 72.09 | 1.310 | 9 |
| 73.70 | 1.285 | 34 |
| 86.63 | 1.124 | 22 |
| 87.44 | 1.115 | 21 |

Cell and atoms:
```
Mn3Zn
1.0
2.620 0.000 0.000
0.000 3.548 0.000
0.000 0.000 5.313
Mn Zn
3 1
Cartesian
0.000 0.000 0.000
1.310 1.774 1.291
1.310 1.774 4.023
0.000 0.000 2.657
```

***

[4]
# TlSbI3
Theoretical powder diffractogram, Cu Ka. Input: DFT lattice parameters and positions (GGA-PBE).
Peak positions follow from Bragg's law for the DFT cell and can differ from measured ones.

Main lines, sorted by position (2θ from 15° to 90°):
| Position (°2θ) | d [Å] | I/Imax |
| --- | --- | --- |
| 17.48 | 5.074 | 100 |
| 23.57 | 3.775 | 21 |
| 25.17 | 3.538 | 93 |
| 26.76 | 3.331 | 35 |
| 29.53 | 3.025 | 18 |
| 33.57 | 2.670 | 41 |
| 35.64 | 2.519 | 74 |
| 38.09 | 2.362 | 35 |
| 38.74 | 2.324 | 20 |
| 51.09 | 1.788 | 24 |
| 51.69 | 1.768 | 16 |
| 61.37 | 1.511 | 15 |

Cell and atoms:
```
TlSbI3
1.0
7.551 0.000 0.000
0.000 7.551 0.000
3.764 3.772 10.149
Tl Sb I
2 2 6
Cartesian
5.650 5.660 10.149
5.664 5.663 0.000
1.884 5.663 3.751
9.430 5.660 6.397
3.354 8.053 5.078
5.654 9.436 9.980
4.274 4.189 5.079
7.040 7.134 5.070
5.660 1.887 0.168
7.960 3.270 5.071
```

***

[5]
# Pr8NiIr3Br3
Theoretical powder diffractogram, Cu Ka. Input: DFT lattice parameters and positions (GGA-PBE).
Peak positions follow from Bragg's law for the DFT cell and can differ from measured ones.

Main lines, sorted by position (2θ from 15° to 90°):
| Position (°2θ) | d [Å] | I/Imax |
| --- | --- | --- |
| 29.07 | 3.072 | 100 |
| 36.82 | 2.441 | 20 |
| 39.91 | 2.259 | 30 |
| 43.20 | 2.094 | 38 |
| 44.85 | 2.021 | 10 |
| 50.21 | 1.817 | 13 |
| 52.91 | 1.730 | 19 |
| 60.26 | 1.536 | 9 |
| 65.91 | 1.417 | 7 |
| 70.63 | 1.334 | 10 |
| 76.81 | 1.241 | 5 |
| 76.94 | 1.239 | 8 |

Cell and atoms:
```
Pr8NiIr3Br3
1.0
7.250 -4.192 0.000
7.250 4.192 0.000
-4.822 0.000 7.699
Pr Ni Ir Br
8 1 3 3
Cartesian
-0.006 0.000 5.360
3.635 2.104 5.362
2.420 0.000 2.311
6.042 2.104 2.336
3.635 -2.104 5.362
7.257 0.000 5.388
6.042 -2.104 2.336
9.683 0.000 2.339
-2.411 0.000 3.849
1.214 2.096 3.849
1.214 -2.096 3.849
4.838 0.000 3.849
0.000 0.000 0.000
3.625 2.096 0.000
3.625 -2.096 0.000
```

***

[6]
# TmSb2S6
Theoretical powder diffractogram, Cu Ka. Input: DFT lattice parameters and positions (GGA-PBE).
Peak positions follow from Bragg's law for the DFT cell and can differ from measured ones.

Main lines, sorted by position (2θ from 15° to 90°):
| Position (°2θ) | d [Å] | I/Imax |
| --- | --- | --- |
| 20.66 | 4.300 | 100 |
| 26.49 | 3.365 | 65 |
| 29.37 | 3.041 | 14 |
| 30.36 | 2.944 | 13 |
| 39.96 | 2.256 | 82 |
| 42.02 | 2.150 | 23 |
| 44.88 | 2.020 | 12 |
| 47.27 | 1.923 | 15 |
| 49.88 | 1.828 | 19 |
| 50.37 | 1.812 | 33 |
| 63.16 | 1.472 | 13 |
| 67.62 | 1.385 | 13 |

Cell and atoms:
```
TmSb2S6
1.0
6.081 0.000 0.000
0.000 6.081 0.000
0.000 0.000 12.118
Tm Sb S
2 4 12
Cartesian
0.000 0.000 0.000
3.041 3.041 6.059
0.000 0.000 4.055
0.000 0.000 8.064
3.041 3.041 2.004
3.041 3.041 10.114
1.143 1.143 6.059
1.190 1.190 2.061
1.190 1.190 10.057
1.850 4.231 3.998
1.850 4.231 8.120
1.898 4.184 0.000
4.184 1.898 0.000
4.231 1.850 3.998
4.231 1.850 8.120
4.891 4.891 2.061
4.891 4.891 10.057
4.938 4.938 6.059
```

***

[7]
# RbMg2In4Pb
Theoretical powder diffractogram, Cu Ka. Input: DFT lattice parameters and positions (GGA-PBE).
Peak positions follow from Bragg's law for the DFT cell and can differ from measured ones.

Main lines, sorted by position (2θ from 15° to 90°):
| Position (°2θ) | d [Å] | I/Imax |
| --- | --- | --- |
| 20.55 | 4.323 | 85 |
| 28.84 | 3.095 | 41 |
| 32.89 | 2.723 | 98 |
| 34.79 | 2.579 | 100 |
| 35.69 | 2.516 | 14 |
| 39.63 | 2.274 | 17 |
| 40.74 | 2.215 | 15 |
| 47.45 | 1.916 | 15 |
| 48.63 | 1.872 | 32 |
| 61.17 | 1.515 | 32 |
| 62.37 | 1.489 | 18 |
| 82.83 | 1.165 | 14 |

Cell and atoms:
```
RbMg2In4Pb
1.0
2.579 1.489 11.450
-2.579 1.489 11.450
0.000 -2.978 11.450
Rb Mg In Pb
1 2 4 1
Cartesian
0.000 0.000 0.000
0.000 0.000 7.148
0.000 0.000 27.202
0.000 0.000 3.729
0.000 0.000 14.006
0.000 0.000 20.343
0.000 0.000 30.621
0.000 0.000 17.175
```

***

[8]
# Sc4TeS2
Theoretical powder diffractogram, Cu Ka. Input: DFT lattice parameters and positions (GGA-PBE).
Peak positions follow from Bragg's law for the DFT cell and can differ from measured ones.

Main lines, sorted by position (2θ from 15° to 90°):
| Position (°2θ) | d [Å] | I/Imax |
| --- | --- | --- |
| 16.15 | 5.489 | 25 |
| 25.84 | 3.448 | 41 |
| 32.09 | 2.789 | 37 |
| 32.63 | 2.745 | 17 |
| 32.93 | 2.720 | 30 |
| 33.28 | 2.692 | 100 |
| 35.58 | 2.523 | 30 |
| 38.15 | 2.359 | 16 |
| 44.07 | 2.055 | 28 |
| 46.71 | 1.945 | 16 |
| 48.62 | 1.873 | 21 |
| 49.11 | 1.855 | 15 |

Cell and atoms:
```
Sc4TeS2
1.0
1.873 -6.105 0.000
1.873 6.105 0.000
0.000 0.000 12.544
Sc Te S
8 2 4
Cartesian
0.000 0.000 0.000
0.000 0.000 6.272
1.873 2.843 7.721
1.873 2.843 11.094
1.873 0.963 3.136
1.873 -0.963 9.408
1.873 -2.843 1.449
1.873 -2.843 4.822
1.873 4.841 3.136
1.873 -4.841 9.408
1.873 1.644 0.744
1.873 1.644 5.528
1.873 -1.644 7.016
1.873 -1.644 11.800
```